For BaSrDyWO6, a cell relaxed with PBE+U gives the theoretical X-ray powder pattern in this record (Cu Ka).
Peak positions follow from Bragg's law for the DFT cell and can differ from measured ones.

Peak list (12 most intense, 2θ = 15–90°, low angle first)
h k l  d/Å  2θ (°)  I (rel.)
1 1 1  4.886  18.16  2.2
2 0 0  4.231  21.00  10.5
2 2 0  2.992  29.87  100.0
3 1 1  2.551  35.17  1.0
4 0 0  2.115  42.74  28.9
4 2 0  1.892  48.09  4.5
4 2 2  1.727  53.02  40.9
4 4 0  1.496  62.04  18.2
6 0 0  1.410  66.27  2.0
6 2 0  1.338  70.37  18.2
4 4 4  1.221  78.28  6.1
6 4 2  1.131  85.96  22.0

Crystal structure
```
data_BaSrDyWO6
_cell_length_a 8.4619
_cell_length_b 8.4619
_cell_length_c 8.4619
_cell_angle_alpha 90.00
_cell_angle_beta 90.00
_cell_angle_gamma 90.00
_symmetry_space_group_name_H-M 'F -4 3 m'
_symmetry_Int_Tables_number 216
_symmetry_space_group_name_Hall 'F -4 2 3'
loop_
_atom_site_label
_atom_site_type_symbol
_atom_site_fract_x
_atom_site_fract_y
_atom_site_fract_z
Ba1 Ba 0.0000 0.0000 0.0000
Sr1 Sr 0.0000 0.0000 0.5000
Dy1 Dy 0.2500 0.2500 0.2500
W1 W 0.2500 0.2500 0.7500
O1 O 0.0136 0.2500 0.7500
```